RbHfMg6O7: computed powder diffractogram (a wavelength of 1.5418 Å), based on a GGA-PBE-relaxed structure.
Intensities are scaled so that the largest is 100.

Peak list (10 most intense, 2θ from 5° to 70°, most intense first)
two_theta  Rel. int.  h k l
7.24  100.0  0 0 1
25.84  48.5  1 0 2
30.66  43.6  1 0 3
22.49  42.6  1 0 1
43.31  32.6  2 0 0
31.14  24.6  1 1 1
14.51  21.3  0 0 2
53.99  17.6  2 1 3
36.80  16.4  0 0 5
36.45  16.2  1 0 4

Cell and atoms:
Unit cell a=4.1786 b=4.1786 c=12.2129 alpha=90.00 beta=90.00 gamma=90.00
Space group P4mm (No. 99)
Unique sites:
Rb 0.0000 0.0000 0.0000 (multiplicity 1)
Hf 0.5000 0.5000 0.8207 (multiplicity 1)
Mg 0.0000 0.0000 0.4497 (multiplicity 1)
Mg 0.0000 0.5000 0.2706 (multiplicity 2)
Mg 0.0000 0.5000 0.6353 (multiplicity 2)
Mg 0.5000 0.5000 0.4548 (multiplicity 1)
O 0.0000 0.0000 0.2680 (multiplicity 1)
O 0.0000 0.0000 0.6154 (multiplicity 1)
O 0.0000 0.5000 0.4469 (multiplicity 2)
O 0.0000 0.5000 0.8126 (multiplicity 2)
O 0.5000 0.5000 0.6399 (multiplicity 1)